The following is a simulated powder diffractogram of Cd3Hg12Pb. It was derived from a cell relaxed with GGA-PBE, using Cu Kα X-rays.
Lines closer than 0.1° are merged.

Atomic structure:
```
Cd3Hg12Pb
1.0
5.613 0.000 0.000
0.000 5.613 0.000
0.000 0.000 13.296
Cd Hg Pb
3 12 1
Direct
0.000 0.000 0.000
0.000 0.000 0.240
0.000 0.000 0.760
0.000 0.500 0.122
0.000 0.500 0.367
0.000 0.500 0.633
0.000 0.500 0.878
0.500 0.000 0.122
0.500 0.000 0.367
0.500 0.000 0.633
0.500 0.000 0.878
0.500 0.500 0.000
0.500 0.500 0.250
0.500 0.500 0.500
0.500 0.500 0.750
0.000 0.000 0.500
```

The 6 most intense peaks (10° ≤ 2θ ≤ 90°), by angle:
two_theta  d_spacing  intensity  (hkl)
31.88  2.807  66  2 0 0
35.22  2.548  100  1 1 4
45.72  1.985  25  2 2 0
58.99  1.566  46  3 1 4
65.24  1.430  16  2 0 8
75.79  1.255  11  4 2 0


The following is a simulated powder diffractogram of Nb3Au2C. It was derived from a cell relaxed with GGA-PBE, using Cu Kα X-rays.
Lines closer than 0.1° are merged.

Atomic structure:
```
Nb3Au2C
1.0
7.222 0.000 0.000
0.000 7.222 0.000
0.000 0.000 7.222
Nb Au C
12 8 4
Direct
0.043 0.125 0.793
0.125 0.793 0.043
0.207 0.543 0.375
0.293 0.457 0.875
0.375 0.207 0.543
0.457 0.875 0.293
0.543 0.375 0.207
0.625 0.707 0.957
0.707 0.957 0.625
0.793 0.043 0.125
0.875 0.293 0.457
0.957 0.625 0.707
0.064 0.936 0.436
0.186 0.186 0.186
0.314 0.814 0.686
0.436 0.064 0.936
0.564 0.564 0.564
0.686 0.314 0.814
0.814 0.686 0.314
0.936 0.436 0.064
0.125 0.375 0.625
0.375 0.625 0.125
0.625 0.125 0.375
0.875 0.875 0.875
```

The 6 most intense peaks (10° ≤ 2θ ≤ 90°), by angle:
two_theta  d_spacing  intensity  (hkl)
37.36  2.407  100  2 2 1
39.46  2.284  54  3 1 0
41.47  2.177  27  3 1 1
47.08  1.930  24  3 2 1
65.96  1.416  34  4 3 1
70.18  1.341  29  5 2 0


The following is a simulated powder diffractogram of PuGe2PdRu. It was derived from a cell relaxed with GGA-PBE, using Cu Kα X-rays.
Lines closer than 0.1° are merged.

Atomic structure:
```
PuGe2PdRu
1.0
4.147 0.000 0.000
0.000 4.147 0.000
0.000 0.000 10.653
Pu Ge Pd Ru
2 4 2 2
Direct
0.000 0.000 0.000
0.500 0.500 0.500
0.000 0.000 0.379
0.000 0.000 0.621
0.500 0.500 0.121
0.500 0.500 0.879
0.000 0.500 0.250
0.500 0.000 0.750
0.000 0.500 0.750
0.500 0.000 0.250
```

The 6 most intense peaks (10° ≤ 2θ ≤ 90°), by angle:
two_theta  d_spacing  intensity  (hkl)
33.22  2.697  61  1 0 3
34.93  2.569  100  1 1 2
43.66  2.073  47  2 0 0
48.01  1.895  25  1 0 5
55.94  1.644  28  2 1 3
74.53  1.273  22  3 1 2


The following is a simulated powder diffractogram of Sc4Cd2C. It was derived from a cell relaxed with GGA-PBE, using Cu Kα X-rays.
Lines closer than 0.1° are merged.

Atomic structure:
```
Sc4Cd2C
1.0
4.554 0.000 0.000
0.000 4.554 0.000
0.000 0.000 14.456
Sc Cd C
8 4 2
Direct
0.000 0.000 0.159
0.000 0.000 0.841
0.000 0.500 0.000
0.000 0.500 0.500
0.500 0.000 0.000
0.500 0.000 0.500
0.500 0.500 0.341
0.500 0.500 0.659
0.000 0.000 0.363
0.000 0.000 0.637
0.500 0.500 0.137
0.500 0.500 0.863
0.000 0.000 0.000
0.500 0.500 0.500
```

The 6 most intense peaks (10° ≤ 2θ ≤ 90°), by angle:
two_theta  d_spacing  intensity  (hkl)
20.44  4.344  24  1 0 1
27.70  3.220  44  1 1 0
30.39  2.942  27  1 1 2
37.39  2.405  100  1 1 4
39.58  2.277  50  2 0 0
70.36  1.338  32  3 1 4


The following is a simulated powder diffractogram of K3GeAu2. It was derived from a cell relaxed with GGA-PBE, using Cu Kα X-rays.
Lines closer than 0.1° are merged.

Atomic structure:
```
K3GeAu2
1.0
8.106 0.000 0.000
0.000 11.332 0.000
-3.658 0.000 9.834
K Ge Au
12 4 8
Direct
0.211 0.118 0.123
0.211 0.382 0.623
0.242 0.741 0.273
0.242 0.759 0.773
0.270 0.032 0.529
0.270 0.468 0.029
0.730 0.532 0.971
0.730 0.968 0.471
0.758 0.241 0.227
0.758 0.259 0.727
0.789 0.618 0.377
0.789 0.882 0.877
0.426 0.048 0.889
0.426 0.452 0.389
0.574 0.548 0.611
0.574 0.952 0.111
0.082 0.043 0.774
0.082 0.457 0.274
0.492 0.230 0.412
0.492 0.270 0.912
0.508 0.730 0.088
0.508 0.770 0.588
0.918 0.543 0.726
0.918 0.957 0.226
```

The 6 most intense peaks (10° ≤ 2θ ≤ 90°), by angle:
two_theta  d_spacing  intensity  (hkl)
17.74  4.999  73  1 0 -2
19.41  4.574  33  1 1 -2
19.54  4.542  100  1 2 0
19.70  4.506  54  0 1 2
34.23  2.619  52  1 0 -4
35.43  2.534  33  2 1 2


The following is a simulated powder diffractogram of Cr2Ir9Rh. It was derived from a cell relaxed with GGA-PBE, using Cu Kα X-rays.
Lines closer than 0.1° are merged.

Atomic structure:
```
Cr2Ir9Rh
1.0
4.729 0.000 0.000
-2.254 5.994 0.000
-0.190 -3.343 6.124
Cr Ir Rh
2 9 1
Direct
0.166 0.197 0.431
0.834 0.803 0.569
0.075 0.308 0.814
0.246 0.671 0.659
0.336 0.503 0.252
0.458 0.817 0.069
0.500 0.000 0.500
0.542 0.183 0.931
0.664 0.497 0.748
0.754 0.329 0.341
0.925 0.692 0.186
0.000 0.000 0.000
```

The 6 most intense peaks (10° ≤ 2θ ≤ 90°), by angle:
two_theta  d_spacing  intensity  (hkl)
38.07  2.364  37  2 -1 0
40.58  2.223  100  0 1 2
42.41  2.131  52  1 2 -1
42.95  2.106  53  1 -3 1
43.11  2.099  55  1 1 -3
44.11  2.053  46  1 -2 3